Simulated powder diffractogram of USi2Au2 for λ = 1.5418 Å (Cu Kα), from a cell relaxed with PBE.

Crystal structure
a = 4.3731 Å, b = 4.3731 Å, c = 9.9742 Å
α = 90.00°, β = 90.00°, γ = 90.00°
Fractional coordinates of all 10 atoms:
1 U 0.2500 0.2500 0.2434
2 U 0.7500 0.7500 0.7566
3 Si 0.2500 0.2500 0.6350
4 Si 0.2500 0.7500 0.0000
5 Si 0.7500 0.2500 0.0000
6 Si 0.7500 0.7500 0.3650
7 Au 0.2500 0.2500 0.8766
8 Au 0.2500 0.7500 0.5000
9 Au 0.7500 0.2500 0.5000
10 Au 0.7500 0.7500 0.1234

Top 10 peaks for 2θ from 10° to 90°, low angle first:
| d (Å) | Rel. int. |
| --- | --- |
| 3.325 | 21.2 |
| 2.954 | 60.0 |
| 2.647 | 73.9 |
| 2.628 | 100.0 |
| 2.187 | 67.3 |
| 1.815 | 24.1 |
| 1.686 | 39.2 |
| 1.546 | 23.0 |
| 1.397 | 20.9 |
| 1.333 | 25.4 |

---

Simulated powder diffractogram of BaLu2Se4 for λ = 1.5418 Å (Cu Kα), from a cell relaxed with PBE.

Crystal structure
a = 12.7501 Å, b = 4.1549 Å, c = 15.0267 Å
α = 90.00°, β = 90.00°, γ = 90.00°
Fractional coordinates of all 28 atoms:
1 Ba 0.2400 0.2500 0.1656
2 Ba 0.2600 0.7500 0.6656
3 Ba 0.7400 0.2500 0.3344
4 Ba 0.7600 0.7500 0.8344
5 Lu 0.0605 0.2500 0.3898
6 Lu 0.0816 0.2500 0.9016
7 Lu 0.4184 0.7500 0.4016
8 Lu 0.4395 0.7500 0.8898
9 Lu 0.5605 0.2500 0.1102
10 Lu 0.5816 0.2500 0.5984
11 Lu 0.9184 0.7500 0.0984
12 Lu 0.9395 0.7500 0.6102
13 Se 0.0276 0.7500 0.7847
14 Se 0.0845 0.2500 0.5745
15 Se 0.1228 0.7500 0.0253
16 Se 0.2035 0.7500 0.3399
17 Se 0.2965 0.2500 0.8399
18 Se 0.3772 0.2500 0.5253
19 Se 0.4155 0.7500 0.0745
20 Se 0.4724 0.2500 0.2847
21 Se 0.5276 0.7500 0.7153
22 Se 0.5845 0.2500 0.9255
23 Se 0.6228 0.7500 0.4747
24 Se 0.7035 0.7500 0.1601
25 Se 0.7965 0.2500 0.6601
26 Se 0.8772 0.2500 0.9747
27 Se 0.9155 0.7500 0.4255
28 Se 0.9724 0.2500 0.2153

Top 10 peaks for 2θ from 10° to 90°, low angle first:
| d (Å) | Rel. int. |
| --- | --- |
| 3.757 | 54.2 |
| 3.699 | 100.0 |
| 3.497 | 69.1 |
| 3.102 | 78.6 |
| 2.932 | 49.7 |
| 2.915 | 48.1 |
| 2.554 | 93.1 |
| 2.529 | 52.6 |
| 2.098 | 57.5 |
| 2.077 | 65.2 |

---

Simulated powder diffractogram of Sm5Zr3Ni16As12 for λ = 1.5418 Å (Cu Kα), from a cell relaxed with PBE.

Crystal structure
a = 12.8980 Å, b = 12.8980 Å, c = 4.0002 Å
α = 90.00°, β = 90.00°, γ = 120.00°
Fractional coordinates of all 36 atoms:
1 Sm 0.0000 0.8150 0.0000
2 Sm 0.1850 0.1850 0.0000
3 Sm 0.3333 0.6667 0.5000
4 Sm 0.6667 0.3333 0.5000
5 Sm 0.8150 0.0000 0.0000
6 Zr 0.0000 0.4352 0.5000
7 Zr 0.4352 0.0000 0.5000
8 Zr 0.5648 0.5648 0.5000
9 Ni 0.0000 0.0000 0.5000
10 Ni 0.0000 0.2763 0.0000
11 Ni 0.1198 0.6369 0.0000
12 Ni 0.1841 0.3779 0.5000
13 Ni 0.1937 0.8159 0.5000
14 Ni 0.2763 0.0000 0.0000
15 Ni 0.3631 0.4830 0.0000
16 Ni 0.3779 0.1841 0.5000
17 Ni 0.4830 0.3631 0.0000
18 Ni 0.5170 0.8802 0.0000
19 Ni 0.6221 0.8063 0.5000
20 Ni 0.6369 0.1198 0.0000
21 Ni 0.7237 0.7237 0.0000
22 Ni 0.8063 0.6221 0.5000
23 Ni 0.8159 0.1937 0.5000
24 Ni 0.8802 0.5170 0.0000
25 As 0.0000 0.1795 0.5000
26 As 0.0000 0.6420 0.5000
27 As 0.1716 0.4771 0.0000
28 As 0.1795 0.0000 0.5000
29 As 0.3055 0.8284 0.0000
30 As 0.3580 0.3580 0.5000
31 As 0.4771 0.1716 0.0000
32 As 0.5229 0.6945 0.0000
33 As 0.6420 0.0000 0.5000
34 As 0.6945 0.5229 0.0000
35 As 0.8205 0.8205 0.5000
36 As 0.8284 0.3055 0.0000

Top 10 peaks for 2θ from 10° to 90°, low angle first:
| d (Å) | Rel. int. |
| --- | --- |
| 2.725 | 27.4 |
| 2.510 | 100.0 |
| 2.449 | 60.0 |
| 2.437 | 25.3 |
| 2.082 | 12.7 |
| 2.006 | 14.6 |
| 2.000 | 39.4 |
| 1.862 | 30.3 |
| 1.669 | 19.2 |
| 1.363 | 21.2 |

---

Simulated powder diffractogram of Na3MgScP2SO12 for λ = 1.5418 Å (Cu Kα), from a cell relaxed with PBE.

Crystal structure
a = 8.9705 Å, b = 8.9705 Å, c = 9.0882 Å
α = 119.55°, β = 119.55°, γ = 60.23°
Fractional coordinates of all 40 atoms:
1 Na 0.0663 0.9337 0.5000
2 Na 0.1682 0.6893 0.7517
3 Na 0.2933 0.4338 0.0034
4 Na 0.4338 0.2933 0.5034
5 Na 0.6893 0.1682 0.2517
6 Na 0.9337 0.0663 0.0000
7 Mg 0.0306 0.5430 0.3138
8 Mg 0.5430 0.0306 0.8138
9 Sc 0.3405 0.8500 0.2121
10 Sc 0.8500 0.3405 0.7121
11 P 0.1473 0.2388 0.5175
12 P 0.2388 0.1473 0.0175
13 P 0.7406 0.9399 0.5242
14 P 0.9399 0.7406 0.0242
15 S 0.4391 0.6437 0.5118
16 S 0.6437 0.4391 0.0118
17 O 0.0665 0.1743 0.8484
18 O 0.1127 0.7524 0.0291
19 O 0.1260 0.4080 0.4944
20 O 0.1743 0.0665 0.3484
21 O 0.2072 0.3129 0.1843
22 O 0.2537 0.9713 0.0282
23 O 0.2783 0.6218 0.4997
24 O 0.3129 0.2072 0.6843
25 O 0.4073 0.6629 0.3443
26 O 0.4080 0.1260 0.9944
27 O 0.4672 0.8054 0.6671
28 O 0.4730 0.5953 0.0292
29 O 0.5675 0.9127 0.3602
30 O 0.5953 0.4730 0.5292
31 O 0.6218 0.2783 0.9997
32 O 0.6629 0.4073 0.8443
33 O 0.7143 0.9791 0.6956
34 O 0.7524 0.1127 0.5291
35 O 0.7804 0.9169 0.0019
36 O 0.8054 0.4672 0.1671
37 O 0.9127 0.5675 0.8602
38 O 0.9169 0.7804 0.5019
39 O 0.9713 0.2537 0.5282
40 O 0.9791 0.7143 0.1956

Top 10 peaks for 2θ from 10° to 90°, low angle first:
| d (Å) | Rel. int. |
| --- | --- |
| 6.393 | 22.4 |
| 4.544 | 21.6 |
| 3.848 | 100.0 |
| 3.733 | 21.8 |
| 3.193 | 16.1 |
| 2.917 | 16.0 |
| 2.910 | 16.6 |
| 2.871 | 91.8 |
| 2.595 | 30.5 |
| 1.922 | 26.1 |

---

Simulated powder diffractogram of SnS for λ = 1.5418 Å (Cu Kα), from a cell relaxed with PBE.

Crystal structure
a = 4.1119 Å, b = 11.7163 Å, c = 4.1079 Å
α = 90.00°, β = 90.00°, γ = 90.00°
Fractional coordinates of all 8 atoms:
1 Sn 0.0000 0.1264 0.2500
2 Sn 0.0000 0.8736 0.7500
3 Sn 0.5000 0.3736 0.7500
4 Sn 0.5000 0.6264 0.2500
5 S 0.0000 0.3486 0.2500
6 S 0.0000 0.6514 0.7500
7 S 0.5000 0.1514 0.7500
8 S 0.5000 0.8486 0.2500

Top 10 peaks for 2θ from 10° to 90°, low angle first:
| d (Å) | Rel. int. |
| --- | --- |
| 3.880 | 35.7 |
| 3.363 | 47.4 |
| 2.929 | 46.6 |
| 2.821 | 100.0 |
| 2.331 | 39.3 |
| 2.055 | 37.0 |
| 1.824 | 31.9 |
| 1.754 | 16.9 |
| 1.682 | 36.2 |
| 1.302 | 15.9 |

---

Simulated powder diffractogram of LiLaO3 for λ = 1.5418 Å (Cu Kα), from a cell relaxed with PBE.

Crystal structure
a = 3.8226 Å, b = 3.8226 Å, c = 3.8226 Å
α = 90.00°, β = 90.00°, γ = 90.00°
Fractional coordinates of all 5 atoms:
1 Li 0.0000 0.0000 0.0000
2 La 0.5000 0.5000 0.5000
3 O 0.0000 0.0000 0.5000
4 O 0.0000 0.5000 0.0000
5 O 0.5000 0.0000 0.0000

Top 10 peaks for 2θ from 10° to 90°, low angle first:
| d (Å) | Rel. int. |
| --- | --- |
| 3.823 | 100.0 |
| 2.703 | 98.3 |
| 2.207 | 75.8 |
| 1.911 | 39.8 |
| 1.710 | 44.2 |
| 1.561 | 39.1 |
| 1.352 | 23.2 |
| 1.274 | 21.5 |
| 1.209 | 17.2 |
| 1.153 | 24.2 |

---

Simulated powder diffractogram of Cs2AsAuF6 for λ = 1.5418 Å (Cu Kα), from a cell relaxed with PBE.

Crystal structure
a = 6.5434 Å, b = 6.5434 Å, c = 6.5434 Å
α = 60.00°, β = 60.00°, γ = 60.00°
Fractional coordinates of all 10 atoms:
1 Cs 0.2500 0.2500 0.2500
2 Cs 0.7500 0.7500 0.7500
3 As 0.0000 0.0000 0.0000
4 Au 0.5000 0.5000 0.5000
5 F 0.2236 0.2236 0.7764
6 F 0.2236 0.7764 0.2236
7 F 0.2236 0.7764 0.7764
8 F 0.7764 0.2236 0.2236
9 F 0.7764 0.2236 0.7764
10 F 0.7764 0.7764 0.2236

Top 10 peaks for 2θ from 10° to 90°, low angle first:
| d (Å) | Rel. int. |
| --- | --- |
| 5.343 | 7.7 |
| 3.272 | 100.0 |
| 2.790 | 8.4 |
| 2.313 | 32.2 |
| 1.889 | 41.4 |
| 1.636 | 20.6 |
| 1.463 | 19.9 |
| 1.336 | 6.7 |
| 1.237 | 22.7 |
| 1.091 | 11.7 |

---

Simulated powder diffractogram of HgSNClO3 for λ = 1.5418 Å (Cu Kα), from a cell relaxed with PBE.

Crystal structure
a = 15.4683 Å, b = 5.4544 Å, c = 7.1668 Å
α = 90.00°, β = 90.00°, γ = 90.00°
Fractional coordinates of all 28 atoms:
1 Hg 0.0045 0.2500 0.2081
2 Hg 0.4955 0.7500 0.7081
3 Hg 0.5045 0.2500 0.2919
4 Hg 0.9955 0.7500 0.7919
5 S 0.1212 0.2500 0.4730
6 S 0.3788 0.7500 0.9730
7 S 0.6212 0.2500 0.0270
8 S 0.8788 0.7500 0.5270
9 N 0.2269 0.2500 0.9069
10 N 0.2731 0.7500 0.4069
11 N 0.7269 0.2500 0.5931
12 N 0.7731 0.7500 0.0931
13 Cl 0.0819 0.7500 0.0784
14 Cl 0.4181 0.2500 0.5784
15 Cl 0.5819 0.7500 0.4216
16 Cl 0.9181 0.2500 0.9216
17 O 0.1019 0.0217 0.5716
18 O 0.1019 0.4783 0.5716
19 O 0.1933 0.2500 0.3442
20 O 0.3067 0.7500 0.8442
21 O 0.3981 0.5217 0.0716
22 O 0.3981 0.9783 0.0716
23 O 0.6019 0.0217 0.9284
24 O 0.6019 0.4783 0.9284
25 O 0.6933 0.2500 0.1558
26 O 0.8067 0.7500 0.6558
27 O 0.8981 0.5217 0.4284
28 O 0.8981 0.9783 0.4284

Top 10 peaks for 2θ from 10° to 90°, low angle first:
| d (Å) | Rel. int. |
| --- | --- |
| 7.734 | 100.0 |
| 4.340 | 46.6 |
| 3.785 | 63.5 |
| 3.251 | 16.2 |
| 2.887 | 36.7 |
| 2.727 | 15.4 |
| 2.628 | 19.9 |
| 2.573 | 15.7 |
| 2.217 | 23.1 |
| 2.091 | 20.7 |

---

Simulated powder diffractogram of Li2IBr for λ = 1.5418 Å (Cu Kα), from a cell relaxed with PBE.

Crystal structure
a = 4.3969 Å, b = 4.3969 Å, c = 7.0919 Å
α = 90.00°, β = 90.00°, γ = 120.00°
Fractional coordinates of all 4 atoms:
1 Li 0.0000 0.0000 0.0000
2 Li 0.3333 0.6667 0.5397
3 I 0.3333 0.6667 0.1439
4 Br 0.0000 0.0000 0.6412

Top 10 peaks for 2θ from 10° to 90°, low angle first:
| d (Å) | Rel. int. |
| --- | --- |
| 3.808 | 30.1 |
| 3.546 | 27.3 |
| 3.355 | 100.0 |
| 2.595 | 20.2 |
| 2.198 | 23.7 |
| 2.008 | 26.4 |
| 1.868 | 26.1 |
| 1.839 | 17.5 |
| 1.410 | 14.5 |
| 1.229 | 10.6 |

---

What is the formula in the second record?
BaLu2Se4